Record 1
Diffraction record for Ba5Mg2F12. The X-ray diffraction stick pattern is theoretical, not measured: it uses DFT lattice parameters and positions (PBE) and CuKα.
Intensities are scaled so that the largest is 100.

Structural model:
abc: 13.919 6.386 8.806
angles: 90.00 104.10 90.00
Space group C2/m (No. 12)
Unique sites:
Ba 0.000 0.000 0.000 (multiplicity 2)
Ba 0.164 0.500 0.858 (multiplicity 4)
Ba 0.197 0.500 0.340 (multiplicity 4)
Mg 0.000 0.238 0.500 (multiplicity 4)
F 0.008 0.500 0.358 (multiplicity 4)
F 0.011 0.000 0.352 (multiplicity 4)
F 0.150 0.264 0.575 (multiplicity 8)
F 0.175 0.235 0.105 (multiplicity 8)

Most intense lines, 10° ≤ 2θ ≤ 90°, by angle:
2θ (°), Rel. int., hkl
24.2, 97, 3 1 0
24.4, 22, 3 1 -1
24.6, 100, 1 1 -2
27.3, 36, 2 0 2
27.9, 24, 0 2 0
39.5, 34, 2 2 2
40.1, 19, 6 0 0
41.1, 42, 2 0 -4
46.2, 24, 5 1 2
47.3, 20, 3 3 0

Record 2
Diffraction record for Ba3SrMg4F16. The X-ray diffraction stick pattern is theoretical, not measured: it uses DFT lattice parameters and positions (PBE) and CuKα.
Intensities are scaled so that the largest is 100.

Structural model:
abc: 18.939 4.114 11.743
angles: 90.00 128.22 90.00
Space group Cm (No. 8)
Unique sites:
Ba 0.000 0.000 0.000 (multiplicity 2)
Ba 0.007 0.000 0.504 (multiplicity 2)
Ba 0.304 0.000 0.061 (multiplicity 2)
Sr 0.320 0.000 0.576 (multiplicity 2)
Mg 0.067 0.500 0.296 (multiplicity 2)
Mg 0.070 0.500 0.800 (multiplicity 2)
Mg 0.237 0.500 0.227 (multiplicity 2)
Mg 0.238 0.500 0.713 (multiplicity 2)
F 0.067 0.000 0.293 (multiplicity 2)
F 0.075 0.000 0.798 (multiplicity 2)
F 0.120 0.500 0.190 (multiplicity 2)
F 0.126 0.500 0.697 (multiplicity 2)
F 0.176 0.500 0.499 (multiplicity 2)
F 0.179 0.500 0.006 (multiplicity 2)
F 0.232 0.000 0.213 (multiplicity 2)
F 0.236 0.000 0.699 (multiplicity 2)
F 0.308 0.500 0.440 (multiplicity 2)
F 0.313 0.500 0.926 (multiplicity 2)
F 0.348 0.500 0.243 (multiplicity 2)
F 0.348 0.500 0.725 (multiplicity 2)
F 0.454 0.000 0.088 (multiplicity 2)
F 0.456 0.000 0.590 (multiplicity 2)
F 0.484 0.000 0.843 (multiplicity 2)
F 0.486 0.000 0.348 (multiplicity 2)

Most intense lines, 10° ≤ 2θ ≤ 90°, by angle:
2θ (°), Rel. int., hkl
19.3, 59, 4 0 -2
23.9, 35, 4 0 0
27.1, 100, 1 1 -2
28.2, 38, 3 1 0
28.4, 45, 6 0 -2
30.4, 22, 4 0 -4
38.1, 27, 5 1 -4
40.4, 52, 3 1 2
42.0, 59, 1 1 -4
44.0, 30, 0 2 0